# 1
ZrSc2Be: computed powder diffractogram (Cu Kα X-rays), based on DFT lattice parameters and positions (PBE).
Kinematic intensities with the Lorentz-polarization factor, no thermal factor.

Structure:
a = 4.2768 Å, b = 4.2768 Å, c = 4.3003 Å
α = 90.00°, β = 90.00°, γ = 90.00°
Space group P4/mmm (No. 123)
One atom of each set of equivalent atoms:
Zr 0.0000 0.0000 0.0000
Sc 0.0000 0.5000 0.5000
Be 0.5000 0.5000 0.0000

Peak list (8 most intense, 2θ = 5–70°, sorted by position)
| d [Å] | I_rel | (hkl) |
| --- | --- | --- |
| 4.277 | 44.7 | 1 0 0 |
| 3.032 | 37.7 | 1 0 1 |
| 2.474 | 100.0 | 1 1 1 |
| 2.150 | 16.2 | 0 0 2 |
| 2.138 | 31.9 | 2 0 0 |
| 1.913 | 10.0 | 2 1 0 |
| 1.748 | 14.6 | 2 1 1 |
| 1.516 | 19.9 | 2 0 2 |

=====

# 2
Tb7SmZn4: computed powder diffractogram (Cu Kα X-rays), based on DFT lattice parameters and positions (PBE).
Kinematic intensities with the Lorentz-polarization factor, no thermal factor.

Structure:
a = 14.0199 Å, b = 5.5655 Å, c = 9.7113 Å
α = 90.00°, β = 122.81°, γ = 90.00°
Space group C2/m (No. 12)
One atom of each set of equivalent atoms:
Tb 0.0000 0.0000 0.0000
Tb 0.0708 0.5000 0.4060
Tb 0.2078 0.5000 0.8799
Tb 0.2224 0.0000 0.6727
Sm 0.0000 0.5000 0.0000
Zn 0.0399 0.0000 0.7300
Zn 0.1792 0.0000 0.3385

Peak list (8 most intense, 2θ = 5–70°, sorted by position)
| d [Å] | I_rel | (hkl) |
| --- | --- | --- |
| 3.426 | 32.5 | 4 0 -1 |
| 2.947 | 74.8 | 4 0 -3 |
| 2.862 | 69.8 | 1 1 2 |
| 2.783 | 100.0 | 0 2 0 |
| 2.765 | 55.7 | 3 1 -3 |
| 2.733 | 27.7 | 2 0 2 |
| 2.418 | 60.4 | 5 1 -1 |
| 2.023 | 51.4 | 4 2 -3 |

=====

# 3
La2Pm2Ge2N: computed powder diffractogram (Cu Kα X-rays), based on DFT lattice parameters and positions (PBE).
Kinematic intensities with the Lorentz-polarization factor, no thermal factor.

Structure:
a = 4.8146 Å, b = 4.8146 Å, c = 16.0343 Å
α = 90.00°, β = 90.00°, γ = 90.00°
Space group I4/mmm (No. 139)
One atom of each set of equivalent atoms:
La 0.0000 0.0000 0.1698
Pm 0.0000 0.5000 0.0000
Ge 0.0000 0.0000 0.3658
N 0.0000 0.0000 0.0000

Peak list (8 most intense, 2θ = 5–70°, sorted by position)
| d [Å] | I_rel | (hkl) |
| --- | --- | --- |
| 8.017 | 24.5 | 0 0 2 |
| 3.134 | 100.0 | 1 1 2 |
| 2.671 | 52.9 | 0 0 6 |
| 2.595 | 91.1 | 1 1 4 |
| 2.407 | 66.4 | 2 0 0 |
| 1.788 | 51.6 | 2 0 6 |
| 1.702 | 22.8 | 2 2 0 |
| 1.423 | 28.4 | 3 1 4 |